(1)
# Li5Fe4P4O16
Theoretical powder XRD pattern, Cu Kα, 1.54184 Å. Input: the PBE+U geometry in the Materials Project.
Lines closer than 0.1° are merged.

abc: 13.4823 10.2557 10.3875
angles: 90.00 90.00 90.00
Space group Cc (No. 9)
Inequivalent atoms, fractional coordinates:
Li (0.0000, 0.0272, 0.0000)
Li (0.1352, 0.0313, 0.2622)
Li (0.1365, 0.4705, 0.7632)
Li (0.3805, 0.2176, 0.5776)
Li (0.3808, 0.2824, 0.0722)
Fe (0.1338, 0.2265, 0.5711)
Fe (0.1340, 0.2884, 0.0745)
Fe (0.3762, 0.4650, 0.7607)
Fe (0.3853, 0.0283, 0.2676)
P (0.0080, 0.2802, 0.3203)
P (0.0096, 0.2172, 0.8224)
P (0.2527, 0.0320, 0.0130)
P (0.2627, 0.4656, 0.5087)
O (0.0067, 0.2444, 0.9716)
O (0.0080, 0.2382, 0.4659)
O (0.0141, 0.4322, 0.3052)
O (0.0155, 0.0668, 0.8078)
O (0.1013, 0.2186, 0.2560)
O (0.1028, 0.2803, 0.7602)
O (0.1506, 0.0191, 0.5689)
O (0.1731, 0.4762, 0.0859)
O (0.2478, 0.4932, 0.3657)
O (0.2569, 0.0038, 0.3681)
O (0.2575, 0.1812, 0.0367)
O (0.2624, 0.3157, 0.5384)
O (0.3410, 0.0326, 0.5846)
O (0.3637, 0.4762, 0.0555)
O (0.4113, 0.2627, 0.7544)
O (0.4148, 0.2266, 0.2575)

Peak list (8 most intense, 2θ from 15° to 90°, most intense first)
h k l	d [Å]	I/Imax
2 0 -2	4.114	100
2 2 0	4.081	96
0 4 0	2.564	36
0 0 4	2.597	34
4 0 2	2.827	29
4 2 -1	2.718	20
6 0 2	2.060	19
4 2 -2	2.476	19

(2)
# AlAgW2O8
Theoretical powder XRD pattern, Cu Kα, 1.54184 Å. Input: the PBE+U geometry in the Materials Project.
Lines closer than 0.1° are merged.

abc: 5.1282 5.7187 5.7333
angles: 111.39 91.74 110.35
Space group P-1 (No. 2)
Inequivalent atoms, fractional coordinates:
Al (0.0000, 0.0000, 0.0000)
Ag (0.5000, 0.0000, 0.5000)
W (0.2526, 0.4996, 0.6847)
O (0.1318, 0.6892, 0.4624)
O (0.2128, 0.7885, 0.9395)
O (0.2282, 0.2559, 0.8297)
O (0.3282, 0.2953, 0.3134)

Peak list (8 most intense, 2θ from 15° to 90°, most intense first)
h k l	d [Å]	I/Imax
1 0 1	3.236	100
-1 1 1	3.075	91
1 1 -1	3.015	73
0 0 1	5.251	73
0 1 0	4.913	67
1 -2 1	2.745	58
2 -1 0	2.549	45
0 1 -2	2.835	44

(3)
# VBiO5
Theoretical powder XRD pattern, Cu Kα, 1.54184 Å. Input: the PBE+U geometry in the Materials Project.
Lines closer than 0.1° are merged.

abc: 5.4689 10.7012 8.8387
angles: 90.00 108.76 90.00
Space group P2_1/c (No. 14)
Inequivalent atoms, fractional coordinates:
V (0.1654, 0.1495, 0.4471)
Bi (0.0025, 0.5913, 0.6749)
O (0.1353, 0.7130, 0.1712)
O (0.1686, 0.0922, 0.6365)
O (0.1862, 0.5547, 0.4905)
O (0.2758, 0.0345, 0.3398)
O (0.3480, 0.2189, 0.9678)

Peak list (8 most intense, 2θ from 15° to 90°, most intense first)
h k l	d [Å]	I/Imax
1 0 0	5.178	100
0 2 1	4.508	53
1 2 1	3.141	46
1 1 -2	3.690	31
0 1 2	3.897	29
1 2 -1	3.730	26
1 4 0	2.378	21
2 2 1	2.094	18

Q: What is the formula in the first record?
A: Li5Fe4P4O16